ScCo3C: simulated XRD peak list (Cu Kα (weighted mean of Kα1 and Kα2)), based on a structure optimized by DFT (PBE).
No peak broadening, texture or thermal motion is included.

Principal peaks in the range 10 to 80 degrees two-theta, in order of rising 2θ:
| 2θ/deg | intensity |
| --- | --- |
| 23.34 | 6 |
| 41.01 | 100 |
| 47.72 | 55 |
| 53.78 | 2 |
| 69.79 | 32 |
| 74.71 | 1 |

Cell and atoms:
Lattice parameters (Å, degrees): 3.812 3.812 3.812 90.00 90.00 90.00
Positions (direct):
1 Sc 0.000 0.000 0.000
2 Co 0.000 0.500 0.500
3 Co 0.500 0.000 0.500
4 Co 0.500 0.500 0.000
5 C 0.500 0.500 0.500

Ta3Co3C: simulated XRD peak list (Cu Kα (weighted mean of Kα1 and Kα2)), based on a structure optimized by DFT (PBE).
No peak broadening, texture or thermal motion is included.

Principal peaks in the range 10 to 80 degrees two-theta, in order of rising 2θ:
| 2θ/deg | intensity |
| --- | --- |
| 13.56 | 7 |
| 22.24 | 8 |
| 31.65 | 30 |
| 34.58 | 29 |
| 39.02 | 55 |
| 41.50 | 100 |
| 45.37 | 38 |
| 58.27 | 16 |
| 63.16 | 13 |
| 67.84 | 16 |
| 70.69 | 47 |
| 72.37 | 11 |

Cell and atoms:
Lattice parameters (Å, degrees): 7.996 7.996 7.996 60.00 60.00 60.00
Positions (direct):
1 Ta 0.073 0.073 0.677
2 Ta 0.073 0.677 0.073
3 Ta 0.073 0.677 0.677
4 Ta 0.323 0.323 0.927
5 Ta 0.323 0.927 0.323
6 Ta 0.323 0.927 0.927
7 Ta 0.677 0.073 0.073
8 Ta 0.677 0.073 0.677
9 Ta 0.677 0.677 0.073
10 Ta 0.927 0.323 0.323
11 Ta 0.927 0.323 0.927
12 Ta 0.927 0.927 0.323
13 Co 0.000 0.500 0.500
14 Co 0.296 0.296 0.296
15 Co 0.296 0.296 0.611
16 Co 0.296 0.611 0.296
17 Co 0.389 0.704 0.704
18 Co 0.500 0.000 0.500
19 Co 0.500 0.500 0.000
20 Co 0.500 0.500 0.500
21 Co 0.611 0.296 0.296
22 Co 0.704 0.389 0.704
23 Co 0.704 0.704 0.389
24 Co 0.704 0.704 0.704
25 C 0.000 0.000 0.000
26 C 0.000 0.000 0.500
27 C 0.000 0.500 0.000
28 C 0.500 0.000 0.000